Record 1
Starting from a cell relaxed with PBE, the powder diffraction line list of CdIn2Pd was computed for CuKα.

Cell and atoms:
```
data_CdIn2Pd
_chemical_formula_sum 'Cd2 In4 Pd2'
_cell_length_a 4.391
_cell_length_b 4.391
_cell_length_c 8.629
_cell_angle_alpha 90.00
_cell_angle_beta 90.00
_cell_angle_gamma 90.00
_space_group_name_H-M_alt 'I 4/m m m'
_space_group_IT_number 139
_space_group_name_Hall '-I 4 2'
loop_
_atom_site_label
_atom_site_fract_x
_atom_site_fract_y
_atom_site_fract_z
Cd1 0.000 0.000 0.000
In1 0.000 0.500 0.250
Pd1 0.000 0.000 0.500
```

Peak list (5 most intense, 5 to 70 degrees two-theta, low angle first)
2θ = 35.62°, rel. 100; 2θ = 41.11°, rel. 33; 2θ = 41.88°, rel. 16; 2θ = 59.55°, rel. 11; 2θ = 60.13°, rel. 21

Record 2
Starting from a cell relaxed with PBE, the powder diffraction line list of ScMo2 was computed for CuKα.

Cell and atoms:
```
data_ScMo2
_chemical_formula_sum 'Sc4 Mo8'
_cell_length_a 5.4010
_cell_length_b 5.4010
_cell_length_c 8.6160
_cell_angle_alpha 90.00
_cell_angle_beta 90.00
_cell_angle_gamma 120.00
_space_group_name_H-M_alt 'P 63/m m c'
_space_group_IT_number 194
_space_group_name_Hall '-P 6c 2c'
loop_
_atom_site_label
_atom_site_fract_x
_atom_site_fract_y
_atom_site_fract_z
Sc1 0.3333 0.6667 0.0621
Mo1 0.0000 0.0000 0.0000
Mo2 0.1712 0.3423 0.7500
```

Peak list (8 most intense, 5 to 70 degrees two-theta, low angle first)
2θ = 18.97°, rel. 36; 2θ = 36.72°, rel. 42; 2θ = 39.38°, rel. 87; 2θ = 39.94°, rel. 100; 2θ = 41.94°, rel. 28; 2θ = 44.06°, rel. 43; 2θ = 67.52°, rel. 26; 2θ = 69.63°, rel. 26

Record 3
Starting from a cell relaxed with PBE, the powder diffraction line list of Li2Sn2PdAu was computed for CuKα.

Cell and atoms:
```
data_Li2Sn2PdAu
_chemical_formula_sum 'Li2 Sn2 Pd1 Au1'
_cell_length_a 4.7021
_cell_length_b 4.7021
_cell_length_c 5.8830
_cell_angle_alpha 90.00
_cell_angle_beta 90.00
_cell_angle_gamma 120.00
_space_group_name_H-M_alt 'P -6 m 2'
_space_group_IT_number 187
_space_group_name_Hall 'P -6 2'
loop_
_atom_site_label
_atom_site_fract_x
_atom_site_fract_y
_atom_site_fract_z
Li1 0.0000 0.0000 0.2476
Sn1 0.3333 0.6667 0.0000
Sn2 0.6667 0.3333 0.5000
Pd1 0.6667 0.3333 0.0000
Au1 0.3333 0.6667 0.5000
```

Peak list (8 most intense, 5 to 70 degrees two-theta, low angle first)
2θ = 21.83°, rel. 100; 2θ = 30.39°, rel. 57; 2θ = 37.73°, rel. 58; 2θ = 38.28°, rel. 100; 2θ = 49.64°, rel. 89; 2θ = 54.84°, rel. 20; 2θ = 68.85°, rel. 21; 2θ = 69.21°, rel. 18